Entry 1:
Structure and theoretical powder diffractogram of Li3Sb5P6O24 (a cell relaxed with PBE; a wavelength of 1.5418 Å).
Kinematic intensities with the Lorentz-polarization factor, no thermal factor.

The 6 most intense peaks (5° ≤ 2θ ≤ 70°), in order of falling intensity:
| two_theta | d (Å) | I_rel | (hkl) |
| --- | --- | --- | --- |
| 27.75 | 3.215 | 100.0 | -2 1 2 |
| 33.17 | 2.701 | 63.5 | 2 1 0 |
| 12.42 | 7.127 | 59.7 | 0 1 -1 |
| 27.93 | 3.195 | 53.6 | 1 2 -1 |
| 21.11 | 4.209 | 43.0 | 0 1 1 |
| 21.37 | 4.158 | 42.9 | 0 1 -2 |

Unit cell a=8.6415 b=8.7857 c=8.7875 alpha=108.70 beta=109.02 gamma=109.76
Space group P1 (No. 1)
Asymmetric unit:
Li 0.0000 0.0000 0.0000
Li 0.1841 0.9451 0.7763
Li 0.4885 0.7172 0.3179
Sb 0.0222 0.5771 0.0607
Sb 0.3038 0.2162 0.5272
Sb 0.4959 0.7478 0.8673
Sb 0.6451 0.4149 0.2095
Sb 0.8069 0.2106 0.5333
P 0.1175 0.4870 0.4202
P 0.2380 0.3467 0.9141
P 0.3610 0.9710 0.1648
P 0.6141 0.1148 0.7933
P 0.7402 0.6014 0.6526
P 0.8551 0.8599 0.2805
O 0.0636 0.9869 0.4416
O 0.0923 0.4203 0.9006
O 0.1397 0.3144 0.3965
O 0.1521 0.1551 0.8907
O 0.1535 0.5387 0.2750
O 0.2301 0.0444 0.1955
O 0.2615 0.6571 0.6127
O 0.2796 0.3582 0.7558
O 0.3250 0.8019 0.2002
O 0.3459 0.9204 0.9742
O 0.4155 0.0871 0.7349
O 0.4226 0.4907 0.1007
O 0.5699 0.1340 0.3103
O 0.5804 0.5934 0.7032
O 0.6450 0.9738 0.8552
O 0.6466 0.5579 0.4448
O 0.6492 0.0754 0.6240
O 0.7259 0.8966 0.3553
O 0.7659 0.3111 0.9577
O 0.7692 0.4382 0.6648
O 0.8227 0.6578 0.2342
O 0.8271 0.8822 0.1096
O 0.9154 0.4377 0.3871
O 0.9207 0.7838 0.7720

=====

Entry 2:
Structure and theoretical powder diffractogram of Tb3FeSi6 (a cell relaxed with PBE; a wavelength of 1.5418 Å).
Kinematic intensities with the Lorentz-polarization factor, no thermal factor.

The 6 most intense peaks (5° ≤ 2θ ≤ 70°), in order of falling intensity:
| two_theta | d (Å) | I_rel | (hkl) |
| --- | --- | --- | --- |
| 35.95 | 2.498 | 100.0 | 1 1 9 |
| 24.95 | 3.570 | 70.0 | 1 0 6 |
| 32.06 | 2.792 | 66.7 | 1 1 3 |
| 36.12 | 2.487 | 62.7 | 0 1 15 |
| 41.00 | 2.201 | 43.6 | 1 0 18 |
| 22.81 | 3.899 | 41.7 | 0 1 3 |

Unit cell a=4.0002 b=4.0229 c=47.4490 alpha=90.00 beta=90.00 gamma=90.00
Space group Amm2 (No. 38)
Asymmetric unit:
Tb 0.0000 0.0000 0.0000
Tb 0.0000 0.0000 0.3313
Tb 0.0000 0.0000 0.6637
Tb 0.5000 0.0000 0.2588
Tb 0.5000 0.0000 0.5913
Tb 0.5000 0.0000 0.9247
Fe 0.5000 0.0000 0.3786
Fe 0.5000 0.0000 0.7113
Si 0.0000 0.0000 0.0631
Si 0.0000 0.0000 0.1120
Si 0.0000 0.0000 0.3974
Si 0.0000 0.0000 0.4482
Si 0.0000 0.0000 0.7301
Si 0.0000 0.0000 0.7804
Si 0.5000 0.0000 0.1407
Si 0.5000 0.0000 0.1915
Si 0.5000 0.0000 0.4761
Si 0.5000 0.0000 0.5256
Si 0.5000 0.0000 0.8075
Si 0.5000 0.0000 0.8583

=====

Entry 3:
Structure and theoretical powder diffractogram of NaPb3 (a cell relaxed with PBE; a wavelength of 1.5418 Å).
Kinematic intensities with the Lorentz-polarization factor, no thermal factor.

The 6 most intense peaks (5° ≤ 2θ ≤ 70°), in order of falling intensity:
| two_theta | d (Å) | I_rel | (hkl) |
| --- | --- | --- | --- |
| 31.32 | 2.856 | 100.0 | 1 1 1 |
| 36.32 | 2.473 | 51.0 | 2 0 0 |
| 62.25 | 1.491 | 43.7 | 3 1 1 |
| 52.31 | 1.749 | 36.6 | 2 2 0 |
| 17.93 | 4.947 | 22.2 | 1 0 0 |
| 25.47 | 3.498 | 19.8 | 1 1 0 |

Unit cell a=4.9466 b=4.9466 c=4.9466 alpha=90.00 beta=90.00 gamma=90.00
Space group Pm-3m (No. 221)
Asymmetric unit:
Na 0.0000 0.0000 0.0000
Pb 0.0000 0.5000 0.5000

=====

Entry 4:
Structure and theoretical powder diffractogram of Sn2Ru (a cell relaxed with PBE; a wavelength of 1.5418 Å).
Kinematic intensities with the Lorentz-polarization factor, no thermal factor.

The 6 most intense peaks (5° ≤ 2θ ≤ 70°), in order of falling intensity:
| two_theta | d (Å) | I_rel | (hkl) |
| --- | --- | --- | --- |
| 34.74 | 2.582 | 100.0 | 2 1 1 |
| 41.88 | 2.157 | 40.5 | 2 0 2 |
| 44.44 | 2.039 | 38.9 | 3 1 0 |
| 36.70 | 2.449 | 36.0 | 1 1 2 |
| 57.34 | 1.607 | 24.5 | 2 1 3 |
| 69.87 | 1.346 | 23.7 | 3 3 2 |

Unit cell a=6.4467 b=6.4467 c=5.8067 alpha=90.00 beta=90.00 gamma=90.00
Space group I4/mcm (No. 140)
Asymmetric unit:
Sn 0.1630 0.3370 0.0000
Ru 0.0000 0.0000 0.2500

=====

Entry 5:
Structure and theoretical powder diffractogram of Ba2Fe4AsP3 (a cell relaxed with PBE; a wavelength of 1.5418 Å).
Kinematic intensities with the Lorentz-polarization factor, no thermal factor.

The 6 most intense peaks (5° ≤ 2θ ≤ 70°), in order of falling intensity:
| two_theta | d (Å) | I_rel | (hkl) |
| --- | --- | --- | --- |
| 31.60 | 2.831 | 100.0 | 1 1 3 |
| 35.89 | 2.502 | 71.5 | 2 0 2 |
| 55.51 | 1.656 | 44.0 | 2 0 6 |
| 47.06 | 1.931 | 38.1 | 2 2 0 |
| 57.80 | 1.595 | 34.2 | 3 1 3 |
| 24.12 | 3.689 | 31.7 | 1 1 1 |

Unit cell a=5.4640 b=5.4584 c=12.4911 alpha=90.00 beta=90.00 gamma=90.00
Space group Amm2 (No. 38)
Asymmetric unit:
Ba 0.0000 0.0000 0.9995
Ba 0.5000 0.0000 0.5000
Fe 0.2462 0.2465 0.2459
As 0.5000 0.0000 0.8459
P 0.0000 0.0000 0.3344
P 0.0000 0.0000 0.6607
P 0.5000 0.0000 0.1616

=====

- What is the formula in the second record?
  Tb3FeSi6